This entry pairs a crystal structure of Sm2Dy2CBr2Cl3 with its simulated XRD peak list. Radiation: Cu Ka. Structure: the PBE geometry in OQMD.
Neutral-atom scattering factors, no anomalous dispersion.

Top 12 peaks for 2θ from 10° to 90°, by intensity:
2θ 32.83, I 100, hkl 1 1 -2; 2θ 46.31, I 60, hkl 5 1 2; 2θ 11.50, I 50, hkl 0 0 1; 2θ 31.74, I 50, hkl 6 0 0; 2θ 32.19, I 35, hkl 3 1 1; 2θ 10.46, I 31, hkl 2 0 0; 2θ 29.38, I 24, hkl 3 1 -1; 2θ 35.65, I 23, hkl 5 1 0; 2θ 13.67, I 23, hkl 2 0 -1; 2θ 38.95, I 19, hkl 2 0 3; 2θ 28.49, I 19, hkl 3 1 0; 2θ 48.30, I 19, hkl 0 2 0

Structural model:
a = 17.3753 Å, b = 3.7689 Å, c = 7.9078 Å
α = 90.00°, β = 103.24°, γ = 90.00°
Space group C2/m (No. 12)
One atom of each set of equivalent atoms:
Sm: 0.1457 0.0000 0.0785 (multiplicity 4)
Dy: 0.0024 0.5000 0.7915 (multiplicity 4)
C: 0.0000 0.0000 0.0000 (multiplicity 2)
Br: 0.1643 0.5000 0.3630 (multiplicity 4)
Cl: 0.0000 0.0000 0.5000 (multiplicity 2)
Cl: 0.1674 0.5000 0.8279 (multiplicity 4)

---

This entry pairs a crystal structure of Sm2Dy2CBr2Cl3 with its simulated XRD peak list. Radiation: Cu Ka. Structure: the PBE geometry in OQMD.
Neutral-atom scattering factors, no anomalous dispersion.

Top 12 peaks for 2θ from 10° to 90°, by intensity:
2θ 32.99, I 100, hkl 1 1 -2; 2θ 11.60, I 88, hkl 0 0 1; 2θ 31.11, I 50, hkl 6 0 0; 2θ 46.27, I 45, hkl 5 1 2; 2θ 10.26, I 36, hkl 2 0 0; 2θ 45.67, I 26, hkl 7 1 -2; 2θ 35.23, I 24, hkl 5 1 -1; 2θ 35.32, I 22, hkl 5 1 0; 2θ 32.17, I 20, hkl 3 1 1; 2θ 48.45, I 19, hkl 0 2 0; 2θ 28.38, I 19, hkl 3 1 0; 2θ 58.71, I 16, hkl 6 2 0

Structural model:
a = 17.7613 Å, b = 3.7573 Å, c = 7.8562 Å
α = 90.00°, β = 103.82°, γ = 90.00°
Space group C2/m (No. 12)
One atom of each set of equivalent atoms:
Sm: 0.1433 0.0000 0.0835 (multiplicity 4)
Dy: 0.9995 0.5000 0.2102 (multiplicity 4)
C: 0.0000 0.0000 0.0000 (multiplicity 2)
Br: 0.1689 0.5000 0.8135 (multiplicity 4)
Cl: 0.0000 0.0000 0.5000 (multiplicity 2)
Cl: 0.1561 0.5000 0.3489 (multiplicity 4)

---

This entry pairs a crystal structure of Sm2Dy2CBr2Cl3 with its simulated XRD peak list. Radiation: Cu Ka. Structure: the PBE geometry in OQMD.
Neutral-atom scattering factors, no anomalous dispersion.

Top 12 peaks for 2θ from 10° to 90°, by intensity:
2θ 11.34, I 100, hkl 0 0 1; 2θ 32.41, I 93, hkl 1 1 -2; 2θ 34.97, I 42, hkl 5 1 0; 2θ 45.34, I 39, hkl 2 0 -4; 2θ 30.96, I 37, hkl 6 0 0; 2θ 10.21, I 26, hkl 2 0 0; 2θ 41.34, I 24, hkl 6 0 -3; 2θ 45.52, I 22, hkl 7 1 -2; 2θ 47.62, I 17, hkl 0 2 0; 2θ 31.59, I 16, hkl 3 1 1; 2θ 28.01, I 15, hkl 3 1 0; 2θ 25.99, I 14, hkl 1 1 -1

Structural model:
a = 17.7654 Å, b = 3.8191 Å, c = 7.9998 Å
α = 90.00°, β = 102.69°, γ = 90.00°
Space group C2/m (No. 12)
One atom of each set of equivalent atoms:
Sm: 0.9997 0.0000 0.2136 (multiplicity 4)
Dy: 0.1385 0.5000 0.0735 (multiplicity 4)
C: 0.0000 0.5000 0.0000 (multiplicity 2)
Br: 0.1732 0.0000 0.8286 (multiplicity 4)
Cl: 0.0000 0.5000 0.5000 (multiplicity 2)
Cl: 0.1619 0.0000 0.3215 (multiplicity 4)

---

This entry pairs a crystal structure of Dy2Y2CBr3Cl2 with its simulated XRD peak list. Radiation: Cu Ka. Structure: the PBE geometry in OQMD.
Neutral-atom scattering factors, no anomalous dispersion.

Top 12 peaks for 2θ from 10° to 90°, by intensity:
2θ 32.29, I 100, hkl 1 1 -2; 2θ 32.04, I 81, hkl 6 0 0; 2θ 11.19, I 48, hkl 0 0 1; 2θ 21.64, I 32, hkl 4 0 -1; 2θ 29.24, I 27, hkl 3 1 -1; 2θ 46.02, I 26, hkl 5 1 2; 2θ 46.30, I 26, hkl 7 1 -2; 2θ 17.09, I 24, hkl 2 0 1; 2θ 58.84, I 18, hkl 6 2 0; 2θ 38.06, I 18, hkl 2 0 3; 2θ 47.94, I 17, hkl 0 2 0; 2θ 44.63, I 17, hkl 2 0 -4

Structural model:
a = 17.1935 Å, b = 3.7949 Å, c = 8.1215 Å
α = 90.00°, β = 103.19°, γ = 90.00°
Space group C2/m (No. 12)
One atom of each set of equivalent atoms:
Dy: 0.1430 0.0000 0.0744 (multiplicity 4)
Y: 0.0024 0.5000 0.7991 (multiplicity 4)
C: 0.0000 0.0000 0.0000 (multiplicity 2)
Br: 0.0000 0.0000 0.5000 (multiplicity 2)
Br: 0.1685 0.5000 0.3420 (multiplicity 4)
Cl: 0.1712 0.5000 0.8475 (multiplicity 4)

---

This entry pairs a crystal structure of Dy2Y2CBr4Cl with its simulated XRD peak list. Radiation: Cu Ka. Structure: the PBE geometry in OQMD.
Neutral-atom scattering factors, no anomalous dispersion.

Top 12 peaks for 2θ from 10° to 90°, by intensity:
2θ 32.76, I 100, hkl 1 1 -2; 2θ 11.49, I 66, hkl 0 0 1; 2θ 45.64, I 49, hkl 5 1 2; 2θ 30.89, I 41, hkl 6 0 0; 2θ 35.06, I 31, hkl 5 1 0; 2θ 31.83, I 24, hkl 3 1 1; 2θ 34.37, I 19, hkl 6 0 -2; 2θ 48.06, I 18, hkl 0 2 0; 2θ 58.25, I 17, hkl 6 2 0; 2θ 45.92, I 16, hkl 2 0 -4; 2θ 26.22, I 16, hkl 1 1 -1; 2θ 29.13, I 15, hkl 3 1 -1

Structural model:
a = 17.8226 Å, b = 3.7864 Å, c = 7.9041 Å
α = 90.00°, β = 102.95°, γ = 90.00°
Space group C2/m (No. 12)
One atom of each set of equivalent atoms:
Dy: 0.1382 0.0000 0.0742 (multiplicity 4)
Y: 0.0010 0.5000 0.7914 (multiplicity 4)
C: 0.0000 0.0000 0.0000 (multiplicity 2)
Br: 0.1639 0.5000 0.3502 (multiplicity 4)
Br: 0.1702 0.5000 0.8240 (multiplicity 4)
Cl: 0.0000 0.0000 0.5000 (multiplicity 2)

---

This entry pairs a crystal structure of Dy2Y2CBr4Cl with its simulated XRD peak list. Radiation: Cu Ka. Structure: the PBE geometry in OQMD.
Neutral-atom scattering factors, no anomalous dispersion.

Top 12 peaks for 2θ from 10° to 90°, by intensity:
2θ 32.78, I 100, hkl 1 1 -2; 2θ 30.96, I 52, hkl 6 0 0; 2θ 35.12, I 37, hkl 5 1 0; 2θ 11.50, I 33, hkl 0 0 1; 2θ 10.21, I 33, hkl 2 0 0; 2θ 45.77, I 32, hkl 5 1 2; 2θ 24.08, I 32, hkl 1 1 0; 2θ 45.66, I 29, hkl 7 1 -2; 2θ 23.10, I 26, hkl 2 0 -2; 2θ 58.33, I 20, hkl 6 2 0; 2θ 48.11, I 19, hkl 0 2 0; 2θ 34.38, I 18, hkl 6 0 -2

Structural model:
a = 17.7872 Å, b = 3.7827 Å, c = 7.8994 Å
α = 90.00°, β = 103.02°, γ = 90.00°
Space group C2/m (No. 12)
One atom of each set of equivalent atoms:
Dy: 0.0009 0.0000 0.2917 (multiplicity 4)
Y: 0.1389 0.5000 0.5751 (multiplicity 4)
C: 0.0000 0.5000 0.5000 (multiplicity 2)
Br: 0.1637 0.0000 0.8521 (multiplicity 4)
Br: 0.1700 0.0000 0.3224 (multiplicity 4)
Cl: 0.0000 0.5000 0.0000 (multiplicity 2)

---

Repeat the second record exactly.
This entry pairs a crystal structure of Sm2Dy2CBr2Cl3 with its simulated XRD peak list. Radiation: Cu Ka. Structure: the PBE geometry in OQMD.
Neutral-atom scattering factors, no anomalous dispersion.

Top 12 peaks for 2θ from 10° to 90°, by intensity:
2θ 32.99, I 100, hkl 1 1 -2; 2θ 11.60, I 88, hkl 0 0 1; 2θ 31.11, I 50, hkl 6 0 0; 2θ 46.27, I 45, hkl 5 1 2; 2θ 10.26, I 36, hkl 2 0 0; 2θ 45.67, I 26, hkl 7 1 -2; 2θ 35.23, I 24, hkl 5 1 -1; 2θ 35.32, I 22, hkl 5 1 0; 2θ 32.17, I 20, hkl 3 1 1; 2θ 48.45, I 19, hkl 0 2 0; 2θ 28.38, I 19, hkl 3 1 0; 2θ 58.71, I 16, hkl 6 2 0

Structural model:
a = 17.7613 Å, b = 3.7573 Å, c = 7.8562 Å
α = 90.00°, β = 103.82°, γ = 90.00°
Space group C2/m (No. 12)
One atom of each set of equivalent atoms:
Sm: 0.1433 0.0000 0.0835 (multiplicity 4)
Dy: 0.9995 0.5000 0.2102 (multiplicity 4)
C: 0.0000 0.0000 0.0000 (multiplicity 2)
Br: 0.1689 0.5000 0.8135 (multiplicity 4)
Cl: 0.0000 0.0000 0.5000 (multiplicity 2)
Cl: 0.1561 0.5000 0.3489 (multiplicity 4)